(1)
# Li2Cd2In2CuIr
Simulated X-ray powder pattern, Cu Kα X-rays. Input: a GGA-PBE-relaxed structure.
Intensities are scaled so that the largest is 100.

Crystal structure
Cell lengths 4.571, 4.571, 6.524 Å; angles 90.00, 90.00, 90.00 degrees
Atoms (fractional coordinates):
Li1 0.000 0.000 0.000
Li2 0.500 0.500 0.500
Cd1 0.000 0.500 0.744
Cd2 0.500 0.000 0.256
In1 0.000 0.500 0.245
In2 0.500 0.000 0.755
Cu1 0.000 0.000 0.500
Ir1 0.500 0.500 0.000

Top 8 peaks for 2θ = 10–90°, by angle:
hkl 1 0 1, d 3.744, I = 42; hkl 1 1 2, d 2.296, I = 100; hkl 2 0 0, d 2.286, I = 49; hkl 2 1 1, d 1.951, I = 14; hkl 2 2 0, d 1.616, I = 16; hkl 2 0 4, d 1.328, I = 16; hkl 3 1 2, d 1.322, I = 33; hkl 2 2 4, d 1.148, I = 10


(2)
# U2PbS5
Simulated X-ray powder pattern, Cu Kα X-rays. Input: a GGA-PBE-relaxed structure.
Intensities are scaled so that the largest is 100.

Crystal structure
Cell lengths 12.258, 7.739, 7.407 Å; angles 90.00, 90.00, 90.00 degrees
Atoms (fractional coordinates):
U1 0.178 0.002 0.013
U2 0.178 0.498 0.013
U3 0.322 0.502 0.513
U4 0.322 0.998 0.513
U5 0.678 0.002 0.487
U6 0.678 0.498 0.487
U7 0.822 0.502 0.987
U8 0.822 0.998 0.987
Pb1 0.008 0.250 0.558
Pb2 0.492 0.750 0.058
Pb3 0.508 0.250 0.942
Pb4 0.992 0.750 0.442
S1 0.002 0.250 0.984
S2 0.123 0.534 0.666
S3 0.123 0.966 0.666
S4 0.190 0.250 0.317
S5 0.214 0.750 0.298
S6 0.286 0.250 0.798
S7 0.310 0.750 0.817
S8 0.377 0.034 0.166
S9 0.377 0.466 0.166
S10 0.498 0.750 0.484
S11 0.502 0.250 0.516
S12 0.623 0.534 0.834
S13 0.623 0.966 0.834
S14 0.690 0.250 0.183
S15 0.714 0.750 0.202
S16 0.786 0.250 0.702
S17 0.810 0.750 0.683
S18 0.877 0.034 0.334
S19 0.877 0.466 0.334
S20 0.998 0.750 0.016

Top 8 peaks for 2θ = 10–90°, by angle:
hkl 0 0 2, d 3.704, I = 54; hkl 3 0 1, d 3.578, I = 100; hkl 1 2 1, d 3.303, I = 62; hkl 2 2 0, d 3.272, I = 56; hkl 2 2 2, d 2.452, I = 63; hkl 3 0 3, d 2.113, I = 27; hkl 5 2 1, d 1.994, I = 41; hkl 3 4 1, d 1.702, I = 28


(3)
# CsAg3OsS4
Simulated X-ray powder pattern, Cu Kα X-rays. Input: a GGA-PBE-relaxed structure.
Intensities are scaled so that the largest is 100.

Crystal structure
Cell lengths 6.411, 6.411, 6.411 Å; angles 90.00, 90.00, 90.00 degrees
Atoms (fractional coordinates):
Cs1 0.000 0.000 0.000
Ag1 0.000 0.500 0.500
Ag2 0.500 0.000 0.500
Ag3 0.500 0.500 0.000
Os1 0.500 0.500 0.500
S1 0.296 0.296 0.296
S2 0.296 0.704 0.704
S3 0.704 0.296 0.704
S4 0.704 0.704 0.296

Top 8 peaks for 2θ = 10–90°, by angle:
hkl 1 0 0, d 6.411, I = 54; hkl 1 1 0, d 4.533, I = 51; hkl 1 1 1, d 3.701, I = 43; hkl 2 0 0, d 3.206, I = 69; hkl 2 1 1, d 2.617, I = 23; hkl 2 2 0, d 2.267, I = 100; hkl 4 2 0, d 1.434, I = 31; hkl 4 2 2, d 1.309, I = 29